[1]
Starting from a structure optimized by DFT (PBE), the XRD peak list of KCuAs2S4 was computed for Cu Kα (weighted mean of Kα1 and Kα2).
Kinematic intensities with the Lorentz-polarization factor, no thermal factor.

Principal peaks in the range 2θ from 10° to 90°, in order of rising 2θ:
2θ (°)  intensity  index
17.7  10  0 0 2
26.6  13  0 2 0
27.0  100  1 1 2
32.1  9  1 2 1
41.3  23  2 2 0
43.5  9  2 1 3
45.0  13  0 2 4
47.2  18  1 3 2
47.9  15  2 0 4
52.7  15  3 1 2
58.9  6  1 1 6
66.8  6  3 3 2

```
data_KCuAs2S4
_chemical_formula_sum 'K2 Cu2 As4 S8'
_cell_length_a 5.774
_cell_length_b 6.701
_cell_length_c 10.070
_cell_angle_alpha 90.00
_cell_angle_beta 90.00
_cell_angle_gamma 90.00
_symmetry_space_group_name_H-M 'I 2 2 2'
_symmetry_Int_Tables_number 23
_symmetry_space_group_name_Hall 'I 2 2'
loop_
_atom_site_label
_atom_site_type_symbol
_atom_site_fract_x
_atom_site_fract_y
_atom_site_fract_z
_atom_site_occupancy
K1 K 0.000 0.000 0.000 1
Cu1 Cu 0.000 0.000 0.500 1
As1 As 0.000 0.500 0.273 1
S1 S 0.243 0.167 0.647 1
```


[2]
Starting from a structure optimized by DFT (PBE), the XRD peak list of La4Cu5As8 was computed for Cu Kα (weighted mean of Kα1 and Kα2).
Kinematic intensities with the Lorentz-polarization factor, no thermal factor.

Principal peaks in the range 2θ from 10° to 90°, in order of rising 2θ:
2θ (°)  intensity  index
22.0  8  1 1 1
30.9  42  1 1 5
35.3  11  0 0 8
35.5  100  2 0 4
44.0  42  2 2 0
45.8  19  1 1 9
54.7  16  3 1 5
57.6  10  2 2 8
63.5  10  2 0 12
63.9  13  4 0 0
65.4  14  3 1 9
75.3  20  4 2 4

```
data_La4Cu5As8
_chemical_formula_sum 'La8 Cu10 As16'
_cell_length_a 5.823
_cell_length_b 5.824
_cell_length_c 20.347
_cell_angle_alpha 90.00
_cell_angle_beta 90.00
_cell_angle_gamma 90.00
_symmetry_space_group_name_H-M 'A m m 2'
_symmetry_Int_Tables_number 38
_symmetry_space_group_name_Hall 'A 2 -2'
loop_
_atom_site_label
_atom_site_type_symbol
_atom_site_fract_x
_atom_site_fract_y
_atom_site_fract_z
_atom_site_occupancy
La1 La 0.000 0.000 0.000 1
La2 La 0.000 0.000 0.244 1
La3 La 0.500 0.000 0.500 1
La4 La 0.500 0.000 0.744 1
Cu1 Cu 0.000 0.000 0.681 1
Cu2 Cu 0.256 0.243 0.372 1
As1 As 0.000 0.000 0.444 1
As2 As 0.000 0.000 0.803 1
As3 As 0.271 0.229 0.120 1
As4 As 0.500 0.000 0.296 1
As5 As 0.500 0.000 0.944 1
```


[3]
Starting from a structure optimized by DFT (PBE), the XRD peak list of La2Mn3Cu9As7 was computed for Cu Kα (weighted mean of Kα1 and Kα2).
Kinematic intensities with the Lorentz-polarization factor, no thermal factor.

Principal peaks in the range 2θ from 10° to 90°, in order of rising 2θ:
2θ (°)  intensity  index
30.3  12  2 0 1
31.2  16  3 0 0
35.4  100  2 1 1
38.5  10  3 0 1
42.1  12  4 0 0
44.1  18  1 3 1
44.7  27  0 0 2
47.9  8  4 0 1
48.6  23  1 4 0
51.6  18  3 2 1
68.1  19  1 4 2
76.4  19  6 1 1

```
data_La2Mn3Cu9As7
_chemical_formula_sum 'La2 Mn3 Cu9 As7'
_cell_length_a 9.9221
_cell_length_b 9.9221
_cell_length_c 4.0526
_cell_angle_alpha 90.00
_cell_angle_beta 90.00
_cell_angle_gamma 120.00
_symmetry_space_group_name_H-M 'P -6'
_symmetry_Int_Tables_number 174
_symmetry_space_group_name_Hall 'P -6'
loop_
_atom_site_label
_atom_site_type_symbol
_atom_site_fract_x
_atom_site_fract_y
_atom_site_fract_z
_atom_site_occupancy
La1 La 0.0000 0.0000 0.0000 1
La2 La 0.3333 0.6667 0.5000 1
Mn1 Mn 0.4493 0.2120 0.0000 1
Cu1 Cu 0.0341 0.2797 0.5000 1
Cu2 Cu 0.0834 0.7008 0.0000 1
Cu3 Cu 0.5102 0.4586 0.5000 1
As1 As 0.0806 0.4447 0.0000 1
As2 As 0.2518 0.2183 0.5000 1
As3 As 0.6667 0.3333 0.5000 1
```


[4]
Starting from a structure optimized by DFT (PBE), the XRD peak list of LiCu3As3 was computed for Cu Kα (weighted mean of Kα1 and Kα2).
Kinematic intensities with the Lorentz-polarization factor, no thermal factor.

Principal peaks in the range 2θ from 10° to 90°, in order of rising 2θ:
2θ (°)  intensity  index
18.8  100  1 1 0
26.7  25  2 0 0
32.8  57  2 1 1
38.1  16  2 2 0
42.7  23  3 1 0
47.1  55  2 2 2
51.1  31  3 2 1
54.9  27  4 0 0
58.5  13  4 1 1
62.1  9  4 2 0
72.0  14  5 1 0
81.4  16  4 4 0

```
data_LiCu3As3
_chemical_formula_sum 'Li2 Cu6 As6'
_cell_length_a 6.689
_cell_length_b 6.689
_cell_length_c 6.689
_cell_angle_alpha 90.00
_cell_angle_beta 90.00
_cell_angle_gamma 90.00
_symmetry_space_group_name_H-M 'P m -3 n'
_symmetry_Int_Tables_number 223
_symmetry_space_group_name_Hall '-P 4n 2 3'
loop_
_atom_site_label
_atom_site_type_symbol
_atom_site_fract_x
_atom_site_fract_y
_atom_site_fract_z
_atom_site_occupancy
Li1 Li 0.000 0.000 0.000 1
Cu1 Cu 0.000 0.250 0.500 1
As1 As 0.000 0.500 0.250 1
```


[5]
Starting from a structure optimized by DFT (PBE), the XRD peak list of Li5CuAs2 was computed for Cu Kα (weighted mean of Kα1 and Kα2).
Kinematic intensities with the Lorentz-polarization factor, no thermal factor.

Principal peaks in the range 2θ from 10° to 90°, in order of rising 2θ:
2θ (°)  intensity  index
23.0  34  1 0 0
23.6  100  1 0 1
28.5  10  1 0 3
33.5  10  0 0 6
40.3  40  1 1 0
46.0  33  1 0 7
47.3  15  2 0 1
53.4  15  1 1 6
62.2  11  1 1 8
62.8  13  2 0 7
63.9  12  2 1 1
77.4  14  2 1 7

```
data_Li5CuAs2
_chemical_formula_sum 'Li10 Cu2 As4'
_cell_length_a 4.4706
_cell_length_b 4.4706
_cell_length_c 16.0457
_cell_angle_alpha 90.00
_cell_angle_beta 90.00
_cell_angle_gamma 120.00
_symmetry_space_group_name_H-M 'P 63/m m c'
_symmetry_Int_Tables_number 194
_symmetry_space_group_name_Hall '-P 6c 2c'
loop_
_atom_site_label
_atom_site_type_symbol
_atom_site_fract_x
_atom_site_fract_y
_atom_site_fract_z
_atom_site_occupancy
Li1 Li 0.0000 0.0000 0.1340 1
Li2 Li 0.3333 0.6667 0.0539 1
Li3 Li 0.3333 0.6667 0.2500 1
Cu1 Cu 0.3333 0.6667 0.7500 1
As1 As 0.3333 0.6667 0.6090 1
```


[6]
Starting from a structure optimized by DFT (PBE), the XRD peak list of LiCuAs2O6 was computed for Cu Kα (weighted mean of Kα1 and Kα2).
Kinematic intensities with the Lorentz-polarization factor, no thermal factor.

Principal peaks in the range 2θ from 10° to 90°, in order of rising 2θ:
2θ (°)  intensity  index
17.5  16  0 2 0
19.0  20  1 1 -1
24.8  18  1 1 1
25.2  39  0 2 1
26.7  100  2 2 -1
28.5  50  3 1 0
31.4  16  1 3 -1
35.1  34  2 2 1
36.7  19  0 0 2
50.5  14  5 3 -1
55.0  22  2 2 -3
63.4  17  5 3 1

```
data_LiCuAs2O6
_chemical_formula_sum 'Li4 Cu4 As8 O24'
_cell_length_a 10.704
_cell_length_b 10.148
_cell_length_c 5.314
_cell_angle_alpha 90.00
_cell_angle_beta 112.70
_cell_angle_gamma 90.00
_symmetry_space_group_name_H-M 'C 1 2/c 1'
_symmetry_Int_Tables_number 15
_symmetry_space_group_name_Hall '-C 2yc'
loop_
_atom_site_label
_atom_site_type_symbol
_atom_site_fract_x
_atom_site_fract_y
_atom_site_fract_z
_atom_site_occupancy
Li1 Li 0.000 0.212 0.250 1
Cu1 Cu 0.000 0.117 0.750 1
As1 As 0.209 0.405 0.737 1
O1 O 0.118 0.093 0.132 1
O2 O 0.123 0.265 0.619 1
O3 O 0.148 0.463 0.990 1
```


[7]
Starting from a structure optimized by DFT (PBE), the XRD peak list of Li2CuAsO4 was computed for Cu Kα (weighted mean of Kα1 and Kα2).
Kinematic intensities with the Lorentz-polarization factor, no thermal factor.

Principal peaks in the range 2θ from 10° to 90°, in order of rising 2θ:
2θ (°)  intensity  index
14.7  20  1 0 0
20.5  100  1 0 1
22.2  61  0 1 1
22.6  24  1 1 0
26.8  42  1 1 1
34.4  31  2 1 0
34.6  41  0 2 0
36.2  26  1 1 -2
37.1  30  2 1 -1
37.5  21  2 1 1
40.6  18  1 2 1
45.2  21  1 0 -3

```
data_Li2CuAsO4
_chemical_formula_sum 'Li4 Cu2 As2 O8'
_cell_length_a 6.035
_cell_length_b 5.182
_cell_length_c 6.342
_cell_angle_alpha 90.00
_cell_angle_beta 91.04
_cell_angle_gamma 90.00
_symmetry_space_group_name_H-M 'P 1 21 1'
_symmetry_Int_Tables_number 4
_symmetry_space_group_name_Hall 'P 2yb'
loop_
_atom_site_label
_atom_site_type_symbol
_atom_site_fract_x
_atom_site_fract_y
_atom_site_fract_z
_atom_site_occupancy
Li1 Li 0.040 0.000 0.326 1
Li2 Li 0.209 0.493 0.040 1
Cu1 Cu 0.383 0.615 0.499 1
As1 As 0.259 0.011 0.797 1
O1 O 0.097 0.154 0.605 1
O2 O 0.149 0.100 0.033 1
O3 O 0.254 0.674 0.763 1
O4 O 0.464 0.603 0.217 1
```


[8]
Starting from a structure optimized by DFT (PBE), the XRD peak list of Li2CuAsS4 was computed for Cu Kα (weighted mean of Kα1 and Kα2).
Kinematic intensities with the Lorentz-polarization factor, no thermal factor.

Principal peaks in the range 2θ from 10° to 90°, in order of rising 2θ:
2θ (°)  intensity  index
15.8  56  0 0 2
23.7  35  1 1 0
28.6  100  1 1 2
37.5  17  2 0 2
40.2  18  1 1 4
47.2  45  2 0 4
48.4  21  2 2 0
51.3  10  2 2 2
55.0  14  1 1 6
57.2  25  3 1 2
76.3  10  3 1 6
89.6  14  4 2 4

```
data_Li2CuAsS4
_chemical_formula_sum 'Li4 Cu2 As2 S8'
_cell_length_a 5.315
_cell_length_b 5.315
_cell_length_c 11.184
_cell_angle_alpha 90.00
_cell_angle_beta 90.00
_cell_angle_gamma 90.00
_symmetry_space_group_name_H-M 'I -4 2 m'
_symmetry_Int_Tables_number 121
_symmetry_space_group_name_Hall 'I -4 2'
loop_
_atom_site_label
_atom_site_type_symbol
_atom_site_fract_x
_atom_site_fract_y
_atom_site_fract_z
_atom_site_occupancy
Li1 Li 0.000 0.500 0.250 1
Cu1 Cu 0.000 0.000 0.000 1
As1 As 0.000 0.000 0.500 1
S1 S 0.242 0.242 0.384 1
```


[9]
Starting from a structure optimized by DFT (PBE), the XRD peak list of MgCu2As was computed for Cu Kα (weighted mean of Kα1 and Kα2).
Kinematic intensities with the Lorentz-polarization factor, no thermal factor.

Principal peaks in the range 2θ from 10° to 90°, in order of rising 2θ:
2θ (°)  intensity  index
22.5  2  0 0 1
22.9  10  1 0 0
32.3  8  1 0 1
40.0  100  1 1 1
45.9  17  0 0 2
46.7  31  2 0 0
58.0  3  2 1 1
67.6  19  2 0 2
68.2  9  2 2 0
80.9  11  1 1 3
82.1  22  3 1 1
86.2  10  2 2 2

```
data_MgCu2As
_chemical_formula_sum 'Mg1 Cu2 As1'
_cell_length_a 3.887
_cell_length_b 3.887
_cell_length_c 3.952
_cell_angle_alpha 90.00
_cell_angle_beta 90.00
_cell_angle_gamma 90.00
_symmetry_space_group_name_H-M 'P 4/m m m'
_symmetry_Int_Tables_number 123
_symmetry_space_group_name_Hall '-P 4 2'
loop_
_atom_site_label
_atom_site_type_symbol
_atom_site_fract_x
_atom_site_fract_y
_atom_site_fract_z
_atom_site_occupancy
Mg1 Mg 0.000 0.000 0.000 1
Cu1 Cu 0.000 0.500 0.500 1
As1 As 0.500 0.500 0.000 1
```


[10]
Starting from a structure optimized by DFT (PBE), the XRD peak list of MgCu2AsO7 was computed for Cu Kα (weighted mean of Kα1 and Kα2).
Kinematic intensities with the Lorentz-polarization factor, no thermal factor.

Principal peaks in the range 2θ from 10° to 90°, in order of rising 2θ:
2θ (°)  intensity  index
19.3  100  1 0 0
23.4  14  0 1 -1
24.2  11  1 1 1
27.1  16  1 -1 1
27.2  10  1 -1 0
30.4  13  1 0 2
33.6  22  1 1 -1
33.9  25  0 2 0
37.2  15  1 2 0
37.5  17  0 1 2
41.3  13  1 -2 1
63.3  9  0 3 2

```
data_MgCu2AsO7
_chemical_formula_sum 'Mg1 Cu2 As1 O7'
_cell_length_a 5.132
_cell_length_b 5.329
_cell_length_c 5.982
_cell_angle_alpha 87.37
_cell_angle_beta 64.64
_cell_angle_gamma 82.66
_symmetry_space_group_name_H-M 'P 1'
_symmetry_Int_Tables_number 1
_symmetry_space_group_name_Hall 'P 1'
loop_
_atom_site_label
_atom_site_type_symbol
_atom_site_fract_x
_atom_site_fract_y
_atom_site_fract_z
_atom_site_occupancy
Mg1 Mg 0.000 0.000 0.000 1
Cu1 Cu 0.510 0.009 0.500 1
Cu2 Cu 0.728 0.495 0.285 1
As1 As 0.506 0.458 0.853 1
O1 O 0.183 0.856 0.645 1
O2 O 0.217 0.657 0.039 1
O3 O 0.374 0.191 0.803 1
O4 O 0.632 0.823 0.214 1
O5 O 0.728 0.597 0.579 1
O6 O 0.730 0.350 0.998 1
O7 O 0.839 0.167 0.345 1
```


[11]
Starting from a structure optimized by DFT (PBE), the XRD peak list of Mg3Cu3As4O16 was computed for Cu Kα (weighted mean of Kα1 and Kα2).
Kinematic intensities with the Lorentz-polarization factor, no thermal factor.

Principal peaks in the range 2θ from 10° to 90°, in order of rising 2θ:
2θ (°)  intensity  index
12.9  47  1 0 -2
22.0  20  2 0 0
24.4  37  0 0 4
24.5  32  1 1 -3
26.9  100  2 1 -1
30.2  41  1 1 3
33.3  25  1 1 -5
34.8  43  0 2 0
35.3  28  0 1 5
36.0  48  3 1 -3
39.8  22  3 0 2
59.8  19  2 1 7

```
data_Mg3Cu3As4O16
_chemical_formula_sum 'Mg6 Cu6 As8 O32'
_cell_length_a 8.715
_cell_length_b 5.157
_cell_length_c 15.755
_cell_angle_alpha 90.00
_cell_angle_beta 112.03
_cell_angle_gamma 90.00
_symmetry_space_group_name_H-M 'P 1 21/c 1'
_symmetry_Int_Tables_number 14
_symmetry_space_group_name_Hall '-P 2ybc'
loop_
_atom_site_label
_atom_site_type_symbol
_atom_site_fract_x
_atom_site_fract_y
_atom_site_fract_z
_atom_site_occupancy
Mg1 Mg 0.000 0.000 0.000 1
Mg2 Mg 0.314 0.047 0.291 1
Cu1 Cu 0.202 0.000 0.877 1
Cu2 Cu 0.500 0.000 0.500 1
As1 As 0.033 0.015 0.650 1
As2 As 0.414 0.001 0.101 1
O1 O 0.020 0.686 0.630 1
O2 O 0.090 0.184 0.576 1
O3 O 0.157 0.612 0.846 1
O4 O 0.187 0.099 0.756 1
O5 O 0.240 0.566 0.506 1
O6 O 0.396 0.585 0.699 1
O7 O 0.431 0.209 0.910 1
O8 O 0.497 0.191 0.605 1
```


> Which formula does entry 11 have?

Mg3Cu3As4O16